Starting from a DFT-relaxed cell (GGA-PBE, the Materials Project), the PXRD pattern of IrRu was calculated for Cu Kα.
Lines closer than 0.1° are merged.

The 10 most intense peaks (2θ from 5° to 70°), by angle:
- 19.9°, rel. 16
- 38.9°, rel. 10
- 40.5°, rel. 34
- 40.6°, rel. 100
- 47.2°, rel. 65
- 51.8°, rel. 5
- 62.5°, rel. 1
- 62.7°, rel. 3
- 68.9°, rel. 21
- 69.1°, rel. 21

Structural model:
```
IrRu
1.0
1.3587 0.7844 4.4550
-1.3587 0.7844 4.4550
0.0000 -1.5689 4.4550
Ir Ru
1 1
Direct
0.0000 0.0000 0.0000
0.5000 0.5000 0.5000
```

Starting from a DFT-relaxed cell (GGA-PBE, the Materials Project), the PXRD pattern of IrRu3 was calculated for Cu Kα.
Lines closer than 0.1° are merged.

The 10 most intense peaks (2θ from 5° to 70°), by angle:
- 18.7°, rel. 4
- 27.9°, rel. 10
- 32.7°, rel. 4
- 37.9°, rel. 25
- 41.8°, rel. 25
- 43.5°, rel. 100
- 54.0°, rel. 2
- 55.5°, rel. 3
- 57.7°, rel. 14
- 68.5°, rel. 17

Structural model:
```
IrRu3
1.0
5.4793 0.0000 0.0000
-2.7397 4.7453 0.0000
0.0000 0.0000 4.3249
Ir Ru
2 6
Direct
0.3333 0.6667 0.2500
0.6667 0.3333 0.7500
0.1659 0.3319 0.7500
0.1659 0.8341 0.7500
0.3319 0.1659 0.2500
0.6681 0.8341 0.7500
0.8341 0.1659 0.2500
0.8341 0.6681 0.2500
```

Starting from a DFT-relaxed cell (GGA-PBE, the Materials Project), the PXRD pattern of Ir3Ru was calculated for Cu Kα.
Lines closer than 0.1° are merged.

The 10 most intense peaks (2θ from 5° to 70°), by angle:
- 23.0°, rel. 2
- 25.8°, rel. 5
- 32.8°, rel. 1
- 40.5°, rel. 100
- 42.2°, rel. 1
- 47.0°, rel. 16
- 47.1°, rel. 32
- 54.5°, rel. 1
- 68.7°, rel. 21
- 68.9°, rel. 11

Structural model:
```
Ir3Ru
1.0
-1.9285 1.9285 3.8669
1.9285 -1.9285 3.8669
1.9285 1.9285 -3.8669
Ir Ru
3 1
Direct
0.0000 0.0000 0.0000
0.2500 0.7500 0.5000
0.7500 0.2500 0.5000
0.5000 0.5000 0.0000
```